# 1
CsCuH3: calculated PXRD pattern (Cu Kα (λ = 1.5418 Å)), based on a cell relaxed with PBE.
Peak positions follow from Bragg's law for the DFT cell and can differ from measured ones.

Structure:
a b c (Å): 6.179 6.179 6.179
angles (deg): 120.77 120.77 88.67
Element x y z (fractional)
Cs  0.250  0.750  0.500
Cs  0.750  0.250  0.500
Cu  0.000  0.000  0.000
Cu  0.500  0.500  0.000
H  0.175  0.175  0.000
H  0.323  0.323  0.647
H  0.323  0.677  0.000
H  0.677  0.323  0.000
H  0.677  0.677  0.353
H  0.825  0.825  0.000

The 12 most intense peaks (2θ from 15° to 90°), by angle:
- d 4.318, 20.57°, I = 10
- d 3.089, 28.91°, I = 100
- d 3.053, 29.25°, I = 48
- d 2.210, 40.83°, I = 10
- d 2.159, 41.84°, I = 18
- d 1.790, 51.01°, I = 20
- d 1.770, 51.65°, I = 38
- d 1.544, 59.89°, I = 12
- d 1.394, 67.13°, I = 9
- d 1.171, 82.32°, I = 10
- d 1.162, 83.15°, I = 9
- d 1.156, 83.66°, I = 9

# 2
PrDy2As3: calculated PXRD pattern (Cu Kα (λ = 1.5418 Å)), based on a cell relaxed with PBE.
Peak positions follow from Bragg's law for the DFT cell and can differ from measured ones.

Structure:
a b c (Å): 4.178 4.178 10.226
angles (deg): 90.00 90.00 120.00
Element x y z (fractional)
Pr  0.000  0.000  0.000
Dy  0.333  0.667  0.338
Dy  0.667  0.333  0.662
As  0.000  0.000  0.500
As  0.333  0.667  0.823
As  0.667  0.333  0.177

The 12 most intense peaks (2θ from 15° to 90°), by angle:
- d 3.411, 26.13°, I = 21
- d 2.954, 30.26°, I = 100
- d 2.481, 36.20°, I = 1
- d 2.089, 43.32°, I = 74
- d 1.781, 51.30°, I = 11
- d 1.705, 53.75°, I = 26
- d 1.477, 62.93°, I = 12
- d 1.355, 69.34°, I = 5
- d 1.321, 71.41°, I = 33
- d 1.206, 79.48°, I = 25
- d 1.197, 80.17°, I = 1
- d 1.137, 85.39°, I = 4

# 3
TbAl3O6: calculated PXRD pattern (Cu Kα (λ = 1.5418 Å)), based on a cell relaxed with PBE.
Peak positions follow from Bragg's law for the DFT cell and can differ from measured ones.

Structure:
a b c (Å): 6.702 6.702 5.998
angles (deg): 110.53 110.53 78.97
Element x y z (fractional)
Tb  0.181  0.819  0.750
Tb  0.819  0.181  0.250
Al  0.186  0.814  0.250
Al  0.248  0.359  0.809
Al  0.359  0.248  0.309
Al  0.641  0.752  0.691
Al  0.752  0.641  0.191
Al  0.814  0.186  0.750
O  0.044  0.181  0.668
O  0.168  0.616  0.971
O  0.181  0.044  0.168
O  0.258  0.431  0.550
O  0.384  0.832  0.529
O  0.431  0.258  0.050
O  0.569  0.742  0.950
O  0.616  0.168  0.471
O  0.742  0.569  0.450
O  0.819  0.956  0.832
O  0.832  0.384  0.029
O  0.956  0.819  0.332

The 12 most intense peaks (2θ from 15° to 90°), by angle:
- d 4.873, 18.21°, I = 100
- d 4.608, 19.26°, I = 71
- d 3.557, 25.03°, I = 64
- d 3.158, 28.26°, I = 47
- d 3.129, 28.53°, I = 73
- d 2.890, 30.94°, I = 41
- d 2.715, 32.99°, I = 51
- d 2.672, 33.54°, I = 30
- d 2.436, 36.89°, I = 31
- d 2.351, 38.28°, I = 34
- d 2.046, 44.27°, I = 27
- d 1.979, 45.85°, I = 33

# 4
KAgSnS3: calculated PXRD pattern (Cu Kα (λ = 1.5418 Å)), based on a cell relaxed with PBE.
Peak positions follow from Bragg's law for the DFT cell and can differ from measured ones.

Structure:
a b c (Å): 15.965 6.651 16.158
angles (deg): 76.43 23.89 79.68
Element x y z (fractional)
K  0.295  0.705  0.344
K  0.594  0.906  0.545
K  0.705  0.295  0.656
K  0.906  0.594  0.955
Ag  0.092  0.092  0.908
Ag  0.342  0.342  0.158
Ag  0.447  0.447  0.553
Ag  0.697  0.697  0.803
Sn  0.146  0.374  0.026
Sn  0.224  0.797  0.104
Sn  0.374  0.146  0.453
Sn  0.797  0.224  0.876
S  0.056  0.717  0.128
S  0.088  0.591  0.361
S  0.122  0.150  0.194
S  0.150  0.122  0.533
S  0.290  0.889  0.659
S  0.391  0.496  0.452
S  0.496  0.391  0.660
S  0.590  0.798  0.754
S  0.591  0.088  0.960
S  0.717  0.056  0.100
S  0.798  0.590  0.859
S  0.889  0.290  0.162

The 12 most intense peaks (2θ from 15° to 90°), by angle:
- d 5.539, 16.00°, I = 84
- d 3.652, 24.38°, I = 29
- d 3.585, 24.84°, I = 73
- d 3.320, 26.85°, I = 100
- d 3.293, 27.08°, I = 94
- d 2.783, 32.16°, I = 23
- d 2.560, 35.06°, I = 43
- d 2.544, 35.29°, I = 31
- d 2.511, 35.76°, I = 24
- d 2.021, 44.85°, I = 42
- d 1.954, 46.47°, I = 26
- d 1.894, 48.04°, I = 20

# 5
Ta3Ni5Sb5: calculated PXRD pattern (Cu Kα (λ = 1.5418 Å)), based on a cell relaxed with PBE.
Peak positions follow from Bragg's law for the DFT cell and can differ from measured ones.

Structure:
a b c (Å): 7.193 7.193 9.287
angles (deg): 129.84 129.84 49.14
Element x y z (fractional)
Ta  0.000  0.000  0.000
Ta  0.204  0.190  0.798
Ta  0.810  0.796  0.202
Ni  0.133  0.649  0.084
Ni  0.351  0.867  0.916
Ni  0.560  0.045  0.719
Ni  0.788  0.212  0.500
Ni  0.955  0.440  0.281
Sb  0.128  0.102  0.407
Sb  0.330  0.315  0.226
Sb  0.500  0.500  0.000
Sb  0.685  0.670  0.774
Sb  0.898  0.872  0.593

The 12 most intense peaks (2θ from 15° to 90°), by angle:
- d 5.029, 17.64°, I = 35
- d 4.643, 19.11°, I = 19
- d 3.419, 26.06°, I = 20
- d 3.405, 26.17°, I = 39
- d 2.991, 29.87°, I = 39
- d 2.944, 30.37°, I = 47
- d 2.930, 30.51°, I = 35
- d 2.098, 43.12°, I = 100
- d 2.093, 43.22°, I = 88
- d 2.083, 43.44°, I = 42
- d 2.070, 43.72°, I = 43
- d 1.212, 78.96°, I = 17

# 6
NaNiP2Pd: calculated PXRD pattern (Cu Kα (λ = 1.5418 Å)), based on a cell relaxed with PBE.
Peak positions follow from Bragg's law for the DFT cell and can differ from measured ones.

Structure:
a b c (Å): 5.494 5.494 5.494
angles (deg): 137.09 137.09 62.30
Element x y z (fractional)
Na  0.000  0.000  0.000
Ni  0.250  0.750  0.500
P  0.384  0.384  0.000
P  0.616  0.616  0.000
Pd  0.750  0.250  0.500

The 12 most intense peaks (2θ from 15° to 90°), by angle:
- d 4.702, 18.87°, I = 67
- d 3.696, 24.08°, I = 18
- d 2.842, 31.48°, I = 14
- d 2.472, 36.35°, I = 14
- d 2.432, 36.96°, I = 100
- d 2.010, 45.12°, I = 44
- d 1.848, 49.32°, I = 21
- d 1.811, 50.37°, I = 41
- d 1.421, 65.71°, I = 14
- d 1.372, 68.35°, I = 11
- d 1.227, 77.86°, I = 20
- d 1.118, 87.19°, I = 17

# 7
HfMoS4: calculated PXRD pattern (Cu Kα (λ = 1.5418 Å)), based on a cell relaxed with PBE.
Peak positions follow from Bragg's law for the DFT cell and can differ from measured ones.

Structure:
a b c (Å): 3.358 3.358 12.686
angles (deg): 90.00 90.00 120.00
Element x y z (fractional)
Hf  0.000  0.000  0.000
Mo  0.000  0.000  0.500
S  0.333  0.667  0.381
S  0.333  0.667  0.619
S  0.667  0.333  0.127
S  0.667  0.333  0.873

The 12 most intense peaks (2θ from 15° to 90°), by angle:
- d 2.908, 30.74°, I = 37
- d 2.835, 31.56°, I = 21
- d 2.644, 33.91°, I = 100
- d 2.396, 37.53°, I = 13
- d 2.143, 42.16°, I = 84
- d 1.710, 53.59°, I = 28
- d 1.679, 54.66°, I = 27
- d 1.623, 56.71°, I = 23
- d 1.417, 65.90°, I = 14
- d 1.322, 71.36°, I = 17
- d 1.315, 71.79°, I = 11
- d 1.153, 83.93°, I = 16

# 8
DyLuPb4: calculated PXRD pattern (Cu Kα (λ = 1.5418 Å)), based on a cell relaxed with PBE.
Peak positions follow from Bragg's law for the DFT cell and can differ from measured ones.

Structure:
a b c (Å): 3.292 10.102 10.102
angles (deg): 36.32 90.00 90.00
Element x y z (fractional)
Dy  0.000  0.000  0.000
Lu  0.000  0.179  0.179
Pb  0.000  0.345  0.345
Pb  0.000  0.510  0.510
Pb  0.000  0.677  0.677
Pb  0.000  0.837  0.837

The 12 most intense peaks (2θ from 15° to 90°), by angle:
- d 3.292, 27.09°, I = 100
- d 3.200, 27.89°, I = 91
- d 3.149, 28.35°, I = 89
- d 2.294, 39.27°, I = 74
- d 2.275, 39.61°, I = 75
- d 2.244, 40.18°, I = 70
- d 1.854, 49.13°, I = 79
- d 1.464, 63.57°, I = 18
- d 1.459, 63.81°, I = 19
- d 1.327, 71.02°, I = 27
- d 1.309, 72.18°, I = 24
- d 1.298, 72.87°, I = 25

# 9
DyF3: calculated PXRD pattern (Cu Kα (λ = 1.5418 Å)), based on a cell relaxed with PBE.
Peak positions follow from Bragg's law for the DFT cell and can differ from measured ones.

Structure:
a b c (Å): 5.681 5.681 3.541
angles (deg): 90.00 90.00 120.00
Element x y z (fractional)
Dy  0.333  0.667  0.250
Dy  0.667  0.333  0.750
F  0.087  0.392  0.750
F  0.305  0.913  0.750
F  0.392  0.305  0.250
F  0.608  0.695  0.750
F  0.695  0.087  0.250
F  0.913  0.608  0.250

The 12 most intense peaks (2θ from 15° to 90°), by angle:
- d 4.920, 18.03°, I = 94
- d 2.874, 31.12°, I = 100
- d 2.841, 31.49°, I = 62
- d 2.460, 36.53°, I = 15
- d 2.020, 44.86°, I = 65
- d 1.860, 48.98°, I = 11
- d 1.770, 51.63°, I = 12
- d 1.646, 55.84°, I = 57
- d 1.640, 56.08°, I = 21
- d 1.502, 61.74°, I = 19
- d 1.273, 74.52°, I = 17
- d 1.203, 79.70°, I = 15

# 10
AgHg3As2Cl3: calculated PXRD pattern (Cu Kα (λ = 1.5418 Å)), based on a cell relaxed with PBE.
Peak positions follow from Bragg's law for the DFT cell and can differ from measured ones.

Structure:
a b c (Å): 13.382 13.382 15.135
angles (deg): 121.42 121.42 40.95
Element x y z (fractional)
Ag  0.108  0.554  0.225
Ag  0.155  0.845  0.750
Ag  0.446  0.892  0.275
Ag  0.554  0.108  0.725
Ag  0.845  0.155  0.250
Ag  0.892  0.446  0.775
Hg  0.000  0.000  0.000
Hg  0.000  0.000  0.500
Hg  0.045  0.618  0.751
Hg  0.163  0.166  0.498
Hg  0.166  0.163  0.998
Hg  0.299  0.701  0.250
Hg  0.331  0.332  0.999
Hg  0.332  0.331  0.499
Hg  0.382  0.955  0.749
Hg  0.500  0.500  0.000
Hg  0.500  0.500  0.500
Hg  0.618  0.045  0.251
Hg  0.668  0.669  0.501
Hg  0.669  0.668  0.001
Hg  0.701  0.299  0.750
Hg  0.834  0.837  0.002
Hg  0.837  0.834  0.502
Hg  0.955  0.382  0.249
As  0.043  0.756  0.948
As  0.089  0.373  0.446
As  0.244  0.957  0.552
As  0.297  0.570  0.052
As  0.373  0.089  0.946
As  0.430  0.703  0.448
As  0.570  0.297  0.552
As  0.627  0.911  0.054
As  0.703  0.430  0.948
As  0.756  0.043  0.448
As  0.911  0.627  0.554
As  0.957  0.244  0.052
Cl  0.000  0.500  0.000
Cl  0.001  0.152  0.749
Cl  0.120  0.350  0.741
Cl  0.152  0.001  0.249
Cl  0.178  0.698  0.561
Cl  0.302  0.822  0.939
Cl  0.350  0.120  0.241
Cl  0.375  0.396  0.749
Cl  0.396  0.375  0.249
Cl  0.500  0.000  0.500
Cl  0.604  0.625  0.751
Cl  0.625  0.604  0.251
Cl  0.650  0.880  0.759
Cl  0.698  0.178  0.061
Cl  0.822  0.302  0.439
Cl  0.848  0.999  0.751
Cl  0.880  0.650  0.259
Cl  0.999  0.848  0.251

The 12 most intense peaks (2θ from 15° to 90°), by angle:
- d 3.755, 23.70°, I = 87
- d 3.488, 25.54°, I = 29
- d 3.472, 25.66°, I = 31
- d 3.144, 28.39°, I = 62
- d 3.117, 28.64°, I = 100
- d 3.026, 29.52°, I = 21
- d 2.217, 40.69°, I = 37
- d 2.209, 40.84°, I = 33
- d 2.089, 43.30°, I = 24
- d 1.942, 46.78°, I = 38
- d 1.913, 47.53°, I = 17
- d 1.877, 48.49°, I = 20

# 11
Li6ZnI8: calculated PXRD pattern (Cu Kα (λ = 1.5418 Å)), based on a cell relaxed with PBE.
Peak positions follow from Bragg's law for the DFT cell and can differ from measured ones.

Structure:
a b c (Å): 8.385 8.385 8.385
angles (deg): 60.00 60.00 60.00
Element x y z (fractional)
Li  0.000  0.000  0.500
Li  0.000  0.500  0.000
Li  0.000  0.500  0.500
Li  0.500  0.000  0.000
Li  0.500  0.000  0.500
Li  0.500  0.500  0.000
Zn  0.000  0.000  0.000
I  0.243  0.243  0.757
I  0.243  0.757  0.243
I  0.243  0.757  0.757
I  0.250  0.250  0.250
I  0.750  0.750  0.750
I  0.757  0.243  0.243
I  0.757  0.243  0.757
I  0.757  0.757  0.243

The 12 most intense peaks (2θ from 15° to 90°), by angle:
- d 3.423, 26.03°, I = 100
- d 2.964, 30.15°, I = 77
- d 2.282, 39.49°, I = 3
- d 2.096, 43.16°, I = 57
- d 2.004, 45.24°, I = 2
- d 1.788, 51.10°, I = 45
- d 1.711, 53.54°, I = 20
- d 1.482, 62.68°, I = 9
- d 1.360, 69.05°, I = 18
- d 1.326, 71.11°, I = 25
- d 1.210, 79.14°, I = 18
- d 1.141, 85.01°, I = 14

# 12
BeTlNiB: calculated PXRD pattern (Cu Kα (λ = 1.5418 Å)), based on a cell relaxed with PBE.
Peak positions follow from Bragg's law for the DFT cell and can differ from measured ones.

Structure:
a b c (Å): 4.119 4.119 4.119
angles (deg): 60.00 60.00 60.00
Element x y z (fractional)
Be  0.000  0.000  0.000
Tl  0.750  0.750  0.750
Ni  0.250  0.250  0.250
B  0.500  0.500  0.500

The 10 most intense peaks (2θ from 15° to 90°), by angle:
- d 3.363, 26.50°, I = 54
- d 2.912, 30.70°, I = 100
- d 2.059, 43.97°, I = 93
- d 1.756, 52.08°, I = 28
- d 1.681, 54.58°, I = 27
- d 1.456, 63.93°, I = 15
- d 1.336, 70.47°, I = 12
- d 1.302, 72.58°, I = 34
- d 1.189, 80.84°, I = 31
- d 1.121, 86.90°, I = 10

What did the fifth record say?
Ta3Ni5Sb5: calculated PXRD pattern (Cu Kα (λ = 1.5418 Å)), based on a cell relaxed with PBE.
Peak positions follow from Bragg's law for the DFT cell and can differ from measured ones.

Structure:
a b c (Å): 7.193 7.193 9.287
angles (deg): 129.84 129.84 49.14
Element x y z (fractional)
Ta  0.000  0.000  0.000
Ta  0.204  0.190  0.798
Ta  0.810  0.796  0.202
Ni  0.133  0.649  0.084
Ni  0.351  0.867  0.916
Ni  0.560  0.045  0.719
Ni  0.788  0.212  0.500
Ni  0.955  0.440  0.281
Sb  0.128  0.102  0.407
Sb  0.330  0.315  0.226
Sb  0.500  0.500  0.000
Sb  0.685  0.670  0.774
Sb  0.898  0.872  0.593

The 12 most intense peaks (2θ from 15° to 90°), by angle:
- d 5.029, 17.64°, I = 35
- d 4.643, 19.11°, I = 19
- d 3.419, 26.06°, I = 20
- d 3.405, 26.17°, I = 39
- d 2.991, 29.87°, I = 39
- d 2.944, 30.37°, I = 47
- d 2.930, 30.51°, I = 35
- d 2.098, 43.12°, I = 100
- d 2.093, 43.22°, I = 88
- d 2.083, 43.44°, I = 42
- d 2.070, 43.72°, I = 43
- d 1.212, 78.96°, I = 17